# 1
Simulated X-ray powder pattern
Compound: Zn7Ag2
Radiation: Cu Kα (weighted mean of Kα1 and Kα2)
Structure: a crystal structure in OQMD, relaxed with PBE
Peak positions follow from Bragg's law for the DFT cell and can differ from measured ones.

Main lines, by angle (5° ≤ 2θ ≤ 70°):
34.92 deg, I = 23
35.45 deg, I = 13
35.96 deg, I = 17
36.17 deg, I = 17
41.30 deg, I = 39
41.60 deg, I = 100
42.05 deg, I = 31
42.20 deg, I = 24
42.90 deg, I = 21
43.49 deg, I = 19
44.07 deg, I = 10
67.41 deg, I = 12

Atomic structure:
```
data_Zn7Ag2
_symmetry_space_group_name_H-M 'P 1'
_symmetry_Int_Tables_number 1
_cell_length_a 5.0657
_cell_length_b 5.0657
_cell_length_c 12.6487
_cell_angle_alpha 90.00
_cell_angle_beta 90.00
_cell_angle_gamma 59.07
loop_
_symmetry_equiv_pos_as_xyz
'x,y,z'
loop_
_atom_site_label
_atom_site_fract_x
_atom_site_fract_y
_atom_site_fract_z
Zn1 0.0314 0.6559 0.5718
Zn2 0.0314 0.6559 0.9282
Zn3 0.1523 0.3237 0.7500
Zn4 0.2022 0.7978 0.7500
Zn5 0.3237 0.1523 0.2500
Zn6 0.3441 0.9686 0.5718
Zn7 0.3441 0.9686 0.9282
Zn8 0.6559 0.0314 0.0718
Zn9 0.6559 0.0314 0.4282
Zn10 0.6763 0.8477 0.7500
Zn11 0.7978 0.2022 0.2500
Zn12 0.8477 0.6763 0.2500
Zn13 0.9686 0.3441 0.0718
Zn14 0.9686 0.3441 0.4282
Ag1 0.3187 0.6813 0.1235
Ag2 0.3187 0.6813 0.3765
Ag3 0.6813 0.3187 0.6235
Ag4 0.6813 0.3187 0.8765
```

=====

# 2
Simulated X-ray powder pattern
Compound: ZrAg
Radiation: Cu Kα (weighted mean of Kα1 and Kα2)
Structure: a crystal structure in OQMD, relaxed with PBE
Peak positions follow from Bragg's law for the DFT cell and can differ from measured ones.

Main lines, by angle (5° ≤ 2θ ≤ 70°):
32.82 deg, I = 7
35.49 deg, I = 22
36.63 deg, I = 31
37.72 deg, I = 100
40.10 deg, I = 15
51.92 deg, I = 14
56.81 deg, I = 7
62.04 deg, I = 7
65.19 deg, I = 7
66.66 deg, I = 17
68.80 deg, I = 5
69.52 deg, I = 8

Atomic structure:
```
data_ZrAg
_symmetry_space_group_name_H-M 'P 1'
_symmetry_Int_Tables_number 1
_cell_length_a 4.9072
_cell_length_b 9.7230
_cell_length_c 5.0594
_cell_angle_alpha 90.00
_cell_angle_beta 90.00
_cell_angle_gamma 90.00
loop_
_symmetry_equiv_pos_as_xyz
'x,y,z'
loop_
_atom_site_label
_atom_site_fract_x
_atom_site_fract_y
_atom_site_fract_z
Zr1 0.0000 0.0837 0.0000
Zr2 0.0000 0.4113 0.9513
Zr3 0.0000 0.5887 0.4513
Zr4 0.0000 0.9163 0.5000
Zr5 0.5000 0.3984 0.3928
Zr6 0.5000 0.6016 0.8928
Ag1 0.0000 0.2385 0.4848
Ag2 0.0000 0.7615 0.9848
Ag3 0.5000 0.0797 0.3880
Ag4 0.5000 0.2368 0.8716
Ag5 0.5000 0.7632 0.3716
Ag6 0.5000 0.9203 0.8880
```

=====

# 3
Simulated X-ray powder pattern
Compound: AlCu2As
Radiation: Cu Kα (weighted mean of Kα1 and Kα2)
Structure: a crystal structure in OQMD, relaxed with PBE
Peak positions follow from Bragg's law for the DFT cell and can differ from measured ones.

Main lines, by angle (5° ≤ 2θ ≤ 70°):
14.44 deg, I = 2
25.15 deg, I = 3
29.12 deg, I = 2
32.65 deg, I = 9
41.66 deg, I = 100
44.31 deg, I = 3
49.28 deg, I = 1
60.38 deg, I = 15
62.44 deg, I = 3
66.45 deg, I = 1

Atomic structure:
```
data_AlCu2As
_symmetry_space_group_name_H-M 'P 1'
_symmetry_Int_Tables_number 1
_cell_length_a 6.1325
_cell_length_b 6.1325
_cell_length_c 6.1325
_cell_angle_alpha 90.00
_cell_angle_beta 90.00
_cell_angle_gamma 90.00
loop_
_symmetry_equiv_pos_as_xyz
'x,y,z'
loop_
_atom_site_label
_atom_site_fract_x
_atom_site_fract_y
_atom_site_fract_z
Al1 0.0000 0.0000 0.0000
Al2 0.0000 0.0000 0.5000
Al3 0.0000 0.5000 0.0000
Al4 0.5000 0.0000 0.0000
Cu1 0.2376 0.2376 0.2376
Cu2 0.2376 0.2376 0.7624
Cu3 0.2376 0.7624 0.2376
Cu4 0.2376 0.7624 0.7624
Cu5 0.7624 0.2376 0.2376
Cu6 0.7624 0.2376 0.7624
Cu7 0.7624 0.7624 0.2376
Cu8 0.7624 0.7624 0.7624
As1 0.0000 0.5000 0.5000
As2 0.5000 0.0000 0.5000
As3 0.5000 0.5000 0.0000
As4 0.5000 0.5000 0.5000
```